Starting from the PBE geometry in Alexandria, the powder diffractogram of Cs2FePbBr6 was simulated for Cu Kα X-rays.
Lines closer than 0.1° are merged.

Top 8 peaks for 10° ≤ 2θ ≤ 80°, low angle first:
Position (°2θ)	d (Å)	I_rel	index
22.25	3.996	64	1 1 2
27.34	3.262	45	2 0 2
31.67	2.825	100	2 2 0
34.60	2.593	17	2 1 3
39.05	2.307	28	3 1 2
45.40	1.998	71	4 0 0
56.41	1.631	24	4 0 4
75.14	1.264	20	6 2 0

Crystal structure
a b c (Å): 7.9984 7.9984 11.2814
angles (deg): 90.00 90.00 90.00
Space group I4/mmm (No. 139)
One atom of each set of equivalent atoms:
Cs (0.0000, 0.5000, 0.2500) (multiplicity 4)
Fe (0.0000, 0.0000, 0.0000) (multiplicity 2)
Pb (0.0000, 0.0000, 0.5000) (multiplicity 2)
Br (0.0000, 0.0000, 0.2327) (multiplicity 4)
Br (0.2338, 0.2338, 0.0000) (multiplicity 8)